1.
This entry pairs a crystal structure of Tb4ErRh5 with its calculated powder X-ray diffraction pattern. Radiation: Cu Kα X-rays. Structure: a crystal structure in Alexandria, relaxed with GGA-PBE.
Peak positions follow from Bragg's law for the DFT cell and can differ from measured ones.

Most intense lines, 10 to 90 degrees two-theta, low angle first:
d = 2.446 Å, 2θ 36.75, rel. 518; d = 2.417 Å, 2θ 37.20, rel. 1000; d = 1.729 Å, 2θ 52.95, rel. 181; d = 1.406 Å, 2θ 66.48, rel. 361; d = 1.390 Å, 2θ 67.36, rel. 173; d = 1.209 Å, 2θ 79.27, rel. 109; d = 1.094 Å, 2θ 89.64, rel. 84; d = 1.091 Å, 2θ 89.91, rel. 84

Structural model:
abc: 3.4585 3.4585 16.8965
angles: 90.00 90.00 90.00
Fractional coordinates of all 10 atoms:
Tb 0.0000 0.0000 0.1005
Tb 0.0000 0.0000 0.3013
Tb 0.0000 0.0000 0.6987
Tb 0.0000 0.0000 0.8995
Er 0.0000 0.0000 0.5000
Rh 0.5000 0.5000 0.0000
Rh 0.5000 0.5000 0.2010
Rh 0.5000 0.5000 0.4024
Rh 0.5000 0.5000 0.5976
Rh 0.5000 0.5000 0.7990

2.
This entry pairs a crystal structure of Er3TeRh with its calculated powder X-ray diffraction pattern. Radiation: Cu Kα X-rays. Structure: a crystal structure in Alexandria, relaxed with GGA-PBE.
Peak positions follow from Bragg's law for the DFT cell and can differ from measured ones.

Most intense lines, 10 to 90 degrees two-theta, low angle first:
d = 3.362 Å, 2θ 26.51, rel. 628; d = 3.028 Å, 2θ 29.49, rel. 590; d = 2.770 Å, 2θ 32.32, rel. 514; d = 2.750 Å, 2θ 32.56, rel. 622; d = 2.660 Å, 2θ 33.69, rel. 1000; d = 2.483 Å, 2θ 36.17, rel. 453; d = 2.460 Å, 2θ 36.53, rel. 562; d = 2.109 Å, 2θ 42.89, rel. 592

Structural model:
abc: 7.5331 4.2176 16.5377
angles: 90.00 90.00 90.00
Fractional coordinates of all 20 atoms:
Er 0.0154 0.2500 0.0918
Er 0.1380 0.7500 0.4476
Er 0.1793 0.2500 0.7058
Er 0.3207 0.7500 0.2058
Er 0.3620 0.2500 0.9476
Er 0.4846 0.7500 0.5918
Er 0.5154 0.2500 0.4082
Er 0.6380 0.7500 0.0524
Er 0.6793 0.2500 0.7942
Er 0.8207 0.7500 0.2942
Er 0.8620 0.2500 0.5524
Er 0.9846 0.7500 0.9082
Te 0.1221 0.2500 0.3001
Te 0.3779 0.7500 0.8001
Te 0.6221 0.2500 0.1999
Te 0.8779 0.7500 0.6999
Rh 0.2388 0.7500 0.0424
Rh 0.2612 0.2500 0.5424
Rh 0.7388 0.7500 0.4576
Rh 0.7612 0.2500 0.9576

3.
This entry pairs a crystal structure of Er5Te2Rh2 with its calculated powder X-ray diffraction pattern. Radiation: Cu Kα X-rays. Structure: a crystal structure in Alexandria, relaxed with GGA-PBE.
Peak positions follow from Bragg's law for the DFT cell and can differ from measured ones.

Most intense lines, 10 to 90 degrees two-theta, low angle first:
d = 2.867 Å, 2θ 31.20, rel. 666; d = 2.735 Å, 2θ 32.74, rel. 777; d = 2.698 Å, 2θ 33.21, rel. 621; d = 2.580 Å, 2θ 34.78, rel. 1000; d = 2.413 Å, 2θ 37.27, rel. 734; d = 2.404 Å, 2θ 37.40, rel. 708; d = 2.306 Å, 2θ 39.06, rel. 627; d = 1.408 Å, 2θ 66.39, rel. 480

Structural model:
abc: 8.6703 8.6703 7.6932
angles: 90.00 90.00 52.93
Fractional coordinates of all 18 atoms:
Er 0.0000 0.0000 0.0000
Er 0.0429 0.7242 0.6580
Er 0.2242 0.5429 0.1580
Er 0.2758 0.9571 0.6580
Er 0.4571 0.7758 0.1580
Er 0.5000 0.5000 0.5000
Er 0.5429 0.2242 0.8420
Er 0.7242 0.0429 0.3420
Er 0.7758 0.4571 0.8420
Er 0.9571 0.2758 0.3420
Te 0.2104 0.2104 0.0000
Te 0.2896 0.2896 0.5000
Te 0.7104 0.7104 0.5000
Te 0.7896 0.7896 0.0000
Rh 0.1396 0.8604 0.3620
Rh 0.3604 0.6396 0.8620
Rh 0.6396 0.3604 0.1380
Rh 0.8604 0.1396 0.6380

4.
This entry pairs a crystal structure of Er6Te3Rh with its calculated powder X-ray diffraction pattern. Radiation: Cu Kα X-rays. Structure: a crystal structure in Alexandria, relaxed with GGA-PBE.
Peak positions follow from Bragg's law for the DFT cell and can differ from measured ones.

Most intense lines, 10 to 90 degrees two-theta, low angle first:
d = 3.458 Å, 2θ 25.76, rel. 457; d = 3.270 Å, 2θ 27.27, rel. 410; d = 2.996 Å, 2θ 29.82, rel. 519; d = 2.946 Å, 2θ 30.34, rel. 674; d = 2.759 Å, 2θ 32.45, rel. 673; d = 2.696 Å, 2θ 33.23, rel. 1000; d = 2.377 Å, 2θ 37.85, rel. 789; d = 1.952 Å, 2θ 46.54, rel. 488

Structural model:
abc: 12.1166 3.9031 12.3882
angles: 90.00 104.99 90.00
Fractional coordinates of all 20 atoms:
Er 0.0091 0.2500 0.3518
Er 0.0828 0.2500 0.8888
Er 0.2734 0.7500 0.3132
Er 0.2828 0.7500 0.7651
Er 0.4030 0.2500 0.5572
Er 0.4615 0.7500 0.1509
Er 0.5385 0.2500 0.8491
Er 0.5970 0.7500 0.4428
Er 0.7172 0.2500 0.2349
Er 0.7266 0.2500 0.6868
Er 0.9172 0.7500 0.1112
Er 0.9909 0.7500 0.6482
Te 0.1172 0.2500 0.1456
Te 0.1714 0.7500 0.5134
Te 0.3422 0.2500 0.9628
Te 0.6578 0.7500 0.0372
Te 0.8286 0.2500 0.4866
Te 0.8828 0.7500 0.8544
Rh 0.4525 0.2500 0.3235
Rh 0.5475 0.7500 0.6765

5.
This entry pairs a crystal structure of Er2TiRh4 with its calculated powder X-ray diffraction pattern. Radiation: Cu Kα X-rays. Structure: a crystal structure in Alexandria, relaxed with GGA-PBE.
Peak positions follow from Bragg's law for the DFT cell and can differ from measured ones.

Most intense lines, 10 to 90 degrees two-theta, low angle first:
d = 3.718 Å, 2θ 23.93, rel. 413; d = 3.668 Å, 2θ 24.27, rel. 160; d = 2.281 Å, 2θ 39.51, rel. 1000; d = 2.257 Å, 2θ 39.94, rel. 794; d = 1.937 Å, 2θ 46.91, rel. 169; d = 1.604 Å, 2θ 57.44, rel. 270; d = 1.317 Å, 2θ 71.67, rel. 169; d = 1.312 Å, 2θ 71.96, rel. 272

Structural model:
abc: 7.7939 7.7939 7.7939
angles: 34.03 34.03 34.03
Fractional coordinates of all 7 atoms:
Er 0.2404 0.2404 0.2404
Er 0.7596 0.7596 0.7596
Ti 0.0000 0.0000 0.0000
Rh 0.1146 0.1146 0.1146
Rh 0.3689 0.3689 0.3689
Rh 0.6311 0.6311 0.6311
Rh 0.8854 0.8854 0.8854

6.
This entry pairs a crystal structure of Er3TlRh4 with its calculated powder X-ray diffraction pattern. Radiation: Cu Kα X-rays. Structure: a crystal structure in Alexandria, relaxed with GGA-PBE.
Peak positions follow from Bragg's law for the DFT cell and can differ from measured ones.

Most intense lines, 10 to 90 degrees two-theta, low angle first:
d = 3.330 Å, 2θ 26.77, rel. 70; d = 2.389 Å, 2θ 37.66, rel. 1000; d = 2.354 Å, 2θ 38.23, rel. 480; d = 1.715 Å, 2θ 53.44, rel. 91; d = 1.665 Å, 2θ 55.17, rel. 166; d = 1.386 Å, 2θ 67.59, rel. 178; d = 1.366 Å, 2θ 68.73, rel. 341; d = 1.194 Å, 2θ 80.40, rel. 110

Structural model:
abc: 4.7088 4.7088 6.8582
angles: 90.00 90.00 90.00
Fractional coordinates of all 8 atoms:
Er 0.0000 0.0000 0.0000
Er 0.0000 0.0000 0.5000
Er 0.5000 0.5000 0.0000
Tl 0.5000 0.5000 0.5000
Rh 0.0000 0.5000 0.2449
Rh 0.0000 0.5000 0.7551
Rh 0.5000 0.0000 0.2449
Rh 0.5000 0.0000 0.7551

7.
This entry pairs a crystal structure of Er7TlRh2 with its calculated powder X-ray diffraction pattern. Radiation: Cu Kα X-rays. Structure: a crystal structure in Alexandria, relaxed with GGA-PBE.
Peak positions follow from Bragg's law for the DFT cell and can differ from measured ones.

Most intense lines, 10 to 90 degrees two-theta, low angle first:
d = 5.159 Å, 2θ 17.19, rel. 546; d = 3.353 Å, 2θ 26.59, rel. 538; d = 3.176 Å, 2θ 28.09, rel. 1000; d = 2.838 Å, 2θ 31.52, rel. 575; d = 2.692 Å, 2θ 33.28, rel. 946; d = 2.579 Å, 2θ 34.78, rel. 894; d = 2.511 Å, 2θ 35.76, rel. 794; d = 1.863 Å, 2θ 48.90, rel. 655

Structural model:
abc: 8.1034 8.1034 5.1588
angles: 90.00 90.00 114.04
Fractional coordinates of all 10 atoms:
Er 0.0000 0.0000 0.0000
Er 0.1847 0.4438 0.0000
Er 0.2094 0.7906 0.5000
Er 0.4438 0.1847 0.0000
Er 0.5562 0.8153 0.0000
Er 0.7906 0.2094 0.5000
Er 0.8153 0.5562 0.0000
Tl 0.5000 0.5000 0.5000
Rh 0.2035 0.7965 0.0000
Rh 0.7965 0.2035 0.0000

8.
This entry pairs a crystal structure of Er5Tl2Rh2 with its calculated powder X-ray diffraction pattern. Radiation: Cu Kα X-rays. Structure: a crystal structure in Alexandria, relaxed with GGA-PBE.
Peak positions follow from Bragg's law for the DFT cell and can differ from measured ones.

Most intense lines, 10 to 90 degrees two-theta, low angle first:
d = 2.853 Å, 2θ 31.36, rel. 371; d = 2.772 Å, 2θ 32.29, rel. 1000; d = 2.753 Å, 2θ 32.52, rel. 442; d = 2.661 Å, 2θ 33.68, rel. 407; d = 2.597 Å, 2θ 34.53, rel. 565; d = 2.365 Å, 2θ 38.05, rel. 405; d = 2.345 Å, 2θ 38.39, rel. 384; d = 2.335 Å, 2θ 38.56, rel. 389

Structural model:
abc: 8.9675 8.9675 7.4856
angles: 90.00 90.00 49.91
Fractional coordinates of all 18 atoms:
Er 0.0000 0.0000 0.0000
Er 0.0532 0.7156 0.6639
Er 0.2156 0.5532 0.1639
Er 0.2844 0.9468 0.6639
Er 0.4468 0.7844 0.1639
Er 0.5000 0.5000 0.5000
Er 0.5532 0.2156 0.8361
Er 0.7156 0.0532 0.3361
Er 0.7844 0.4468 0.8361
Er 0.9468 0.2844 0.3361
Tl 0.2203 0.2203 0.0000
Tl 0.2797 0.2797 0.5000
Tl 0.7203 0.7203 0.5000
Tl 0.7797 0.7797 0.0000
Rh 0.1352 0.8648 0.3628
Rh 0.3648 0.6352 0.8628
Rh 0.6352 0.3648 0.1372
Rh 0.8648 0.1352 0.6372

9.
This entry pairs a crystal structure of Er4TmRh3 with its calculated powder X-ray diffraction pattern. Radiation: Cu Kα X-rays. Structure: a crystal structure in Alexandria, relaxed with GGA-PBE.
Peak positions follow from Bragg's law for the DFT cell and can differ from measured ones.

Most intense lines, 10 to 90 degrees two-theta, low angle first:
d = 3.029 Å, 2θ 29.49, rel. 276; d = 2.706 Å, 2θ 33.11, rel. 735; d = 2.648 Å, 2θ 33.85, rel. 476; d = 2.438 Å, 2θ 36.86, rel. 523; d = 2.424 Å, 2θ 37.09, rel. 1000; d = 2.382 Å, 2θ 37.77, rel. 476; d = 1.605 Å, 2θ 57.41, rel. 282; d = 1.542 Å, 2θ 59.99, rel. 185

Structural model:
abc: 8.2843 8.2843 8.2843
angles: 97.68 97.68 137.10
Fractional coordinates of all 16 atoms:
Er 0.0810 0.7899 0.8709
Er 0.2101 0.0810 0.2911
Er 0.2899 0.5810 0.8709
Er 0.4190 0.2899 0.7089
Er 0.5810 0.7101 0.2911
Er 0.7101 0.4190 0.1291
Er 0.7899 0.9190 0.7089
Er 0.9190 0.2101 0.1291
Tm 0.2500 0.7500 0.5000
Tm 0.7500 0.2500 0.5000
Rh 0.1563 0.3437 0.5000
Rh 0.2500 0.2500 0.0000
Rh 0.3437 0.8437 0.1873
Rh 0.6563 0.1563 0.8127
Rh 0.7500 0.7500 0.0000
Rh 0.8437 0.6563 0.5000

10.
This entry pairs a crystal structure of ErTmRh with its calculated powder X-ray diffraction pattern. Radiation: Cu Kα X-rays. Structure: a crystal structure in Alexandria, relaxed with GGA-PBE.
Peak positions follow from Bragg's law for the DFT cell and can differ from measured ones.

Most intense lines, 10 to 90 degrees two-theta, low angle first:
d = 3.288 Å, 2θ 27.12, rel. 183; d = 2.634 Å, 2θ 34.04, rel. 1000; d = 2.410 Å, 2θ 37.31, rel. 548; d = 2.010 Å, 2θ 45.10, rel. 270; d = 1.905 Å, 2θ 47.73, rel. 142; d = 1.704 Å, 2θ 53.79, rel. 191; d = 1.431 Å, 2θ 65.20, rel. 303; d = 1.307 Å, 2θ 72.28, rel. 144

Structural model:
abc: 6.6737 6.6737 6.6737
angles: 150.41 150.41 42.34
Fractional coordinates of all 3 atoms:
Er 0.0000 0.0000 0.0000
Tm 0.2639 0.2639 0.0000
Rh 0.6332 0.6332 0.0000

11.
This entry pairs a crystal structure of ErTm4Rh2 with its calculated powder X-ray diffraction pattern. Radiation: Cu Kα X-rays. Structure: a crystal structure in Alexandria, relaxed with GGA-PBE.
Peak positions follow from Bragg's law for the DFT cell and can differ from measured ones.

Most intense lines, 10 to 90 degrees two-theta, low angle first:
d = 3.025 Å, 2θ 29.53, rel. 423; d = 2.866 Å, 2θ 31.21, rel. 452; d = 2.832 Å, 2θ 31.59, rel. 616; d = 2.749 Å, 2θ 32.57, rel. 1000; d = 2.735 Å, 2θ 32.74, rel. 829; d = 2.530 Å, 2θ 35.48, rel. 605; d = 2.284 Å, 2θ 39.45, rel. 439; d = 1.883 Å, 2θ 48.33, rel. 427

Structural model:
abc: 6.3508 7.5380 8.4342
angles: 100.85 104.34 107.55
Fractional coordinates of all 14 atoms:
Er 0.0000 0.0000 0.0000
Er 0.2318 0.9138 0.3926
Tm 0.0149 0.5007 0.9638
Tm 0.2569 0.4219 0.3676
Tm 0.4780 0.0688 0.8199
Tm 0.4885 0.5642 0.8007
Tm 0.6139 0.7543 0.2328
Tm 0.6337 0.2032 0.2534
Tm 0.9094 0.6320 0.5868
Tm 0.9556 0.1465 0.6279
Rh 0.3507 0.3445 0.0333
Rh 0.5828 0.8106 0.5766
Rh 0.5843 0.2838 0.5920
Rh 0.8889 0.5494 0.2431

12.
This entry pairs a crystal structure of ErTmRh with its calculated powder X-ray diffraction pattern. Radiation: Cu Kα X-rays. Structure: a crystal structure in Alexandria, relaxed with GGA-PBE.
Peak positions follow from Bragg's law for the DFT cell and can differ from measured ones.

Most intense lines, 10 to 90 degrees two-theta, low angle first:
d = 3.123 Å, 2θ 28.58, rel. 849; d = 2.741 Å, 2θ 32.67, rel. 568; d = 2.687 Å, 2θ 33.35, rel. 1000; d = 1.919 Å, 2θ 47.38, rel. 750; d = 1.900 Å, 2θ 47.88, rel. 339; d = 1.623 Å, 2θ 56.72, rel. 252; d = 1.561 Å, 2θ 59.17, rel. 360; d = 1.100 Å, 2θ 88.94, rel. 194

Structural model:
abc: 7.5993 7.5993 5.4823
angles: 90.00 90.00 90.00
Fractional coordinates of all 12 atoms:
Er 0.0000 0.2428 0.0000
Er 0.0000 0.7572 0.0000
Er 0.2428 0.0000 0.5000
Er 0.7572 0.0000 0.5000
Tm 0.2744 0.5000 0.5000
Tm 0.5000 0.2744 0.0000
Tm 0.5000 0.7256 0.0000
Tm 0.7256 0.5000 0.5000
Rh 0.0000 0.2796 0.5000
Rh 0.0000 0.7204 0.5000
Rh 0.2796 0.0000 0.0000
Rh 0.7204 0.0000 0.0000